Mg7Ag2Sn3: calculated X-ray powder pattern (Cu Kα (λ = 1.5418 Å)), based on DFT lattice parameters and positions (GGA-PBE).
Neutral-atom scattering factors, no anomalous dispersion.

Cell and atoms:
abc: 15.1684 15.1684 4.1777
angles: 90.00 90.00 162.84
Fractional positions:
Mg 0.0000 0.0000 0.0000
Mg 0.0756 0.9244 0.5000
Mg 0.2197 0.7803 0.0000
Mg 0.4208 0.5792 0.0000
Mg 0.5792 0.4208 0.0000
Mg 0.7803 0.2197 0.0000
Mg 0.9244 0.0756 0.5000
Ag 0.1323 0.8677 0.0000
Ag 0.8677 0.1323 0.0000
Sn 0.3325 0.6675 0.5000
Sn 0.5000 0.5000 0.5000
Sn 0.6675 0.3325 0.5000

Principal peaks in the range 2θ = 10–90°, in order of falling intensity:
36.0°, intensity 100; 29.2°, intensity 71; 30.5°, intensity 56; 17.7°, intensity 54; 59.4°, intensity 50; 11.8°, intensity 47